# BaMn4Al
Theoretical powder diffraction line list, a wavelength of 1.5418 Å. Input: a crystal structure in Alexandria, relaxed with GGA-PBE.
Lines closer than 0.1° are merged.

Peak list (10 most intense, 2θ from 10° to 90°, by intensity)
two_theta	intensity
39.2	100
33.3	36
41.0	32
63.5	32
23.4	23
69.8	22
20.2	14
59.4	14
83.2	10
84.3	10

Cell and atoms:
Lattice parameters (Å, degrees): 5.3866 5.3866 5.3866 60.00 60.00 60.00
Fractional positions:
Ba (0.0000, 0.0000, 0.0000)
Mn (0.1356, 0.6215, 0.6215)
Mn (0.6215, 0.1356, 0.6215)
Mn (0.6215, 0.6215, 0.1356)
Mn (0.6215, 0.6215, 0.6215)
Al (0.2500, 0.2500, 0.2500)



# Tl6SnPb3
Theoretical powder diffraction line list, a wavelength of 1.5418 Å. Input: a crystal structure in Alexandria, relaxed with GGA-PBE.
Lines closer than 0.1° are merged.

Peak list (10 most intense, 2θ from 10° to 90°, by intensity)
two_theta	intensity
30.2	100
34.3	100
27.6	35
50.8	26
47.6	25
58.8	18
55.9	16
40.3	13
62.8	12
65.1	11

Cell and atoms:
Lattice parameters (Å, degrees): 6.2205 6.2205 9.6877 90.00 90.00 120.00
Fractional positions:
Tl (0.0000, 0.3820, 0.2977)
Tl (0.0000, 0.6180, 0.7023)
Tl (0.3820, 0.0000, 0.2977)
Tl (0.3820, 0.3820, 0.7023)
Tl (0.6180, 0.0000, 0.7023)
Tl (0.6180, 0.6180, 0.2977)
Sn (0.0000, 0.0000, 0.5000)
Pb (0.0000, 0.0000, 0.0000)
Pb (0.3333, 0.6667, 0.0000)
Pb (0.6667, 0.3333, 0.0000)



# Y2PtO
Theoretical powder diffraction line list, a wavelength of 1.5418 Å. Input: a crystal structure in Alexandria, relaxed with GGA-PBE.
Lines closer than 0.1° are merged.

Peak list (10 most intense, 2θ from 10° to 90°, by intensity)
two_theta	intensity
36.5	100
30.8	78
30.7	75
17.7	67
29.7	40
42.1	40
44.0	38
48.4	32
16.8	31
45.5	30

Cell and atoms:
Lattice parameters (Å, degrees): 5.8671 5.8119 10.9571 90.00 115.96 90.00
Fractional positions:
Y (0.0435, 0.2375, 0.0940)
Y (0.0435, 0.7625, 0.5940)
Y (0.3192, 0.2047, 0.8530)
Y (0.3192, 0.7953, 0.3530)
Y (0.6808, 0.2047, 0.6470)
Y (0.6808, 0.7953, 0.1470)
Y (0.9565, 0.2375, 0.4060)
Y (0.9565, 0.7625, 0.9060)
Pt (0.4178, 0.3049, 0.3616)
Pt (0.4178, 0.6951, 0.8616)
Pt (0.5822, 0.3049, 0.1384)
Pt (0.5822, 0.6951, 0.6384)
O (0.0374, 0.1443, 0.6234)
O (0.0374, 0.8557, 0.1234)
O (0.9626, 0.1443, 0.8766)
O (0.9626, 0.8557, 0.3766)



# Pr4TmTl5
Theoretical powder diffraction line list, a wavelength of 1.5418 Å. Input: a crystal structure in Alexandria, relaxed with GGA-PBE.
Lines closer than 0.1° are merged.

Peak list (10 most intense, 2θ from 10° to 90°, by intensity)
two_theta	intensity
32.2	100
33.1	49
58.6	37
47.5	18
56.9	18
67.4	10
44.9	9
79.1	8
78.6	8
74.7	6

Cell and atoms:
Lattice parameters (Å, degrees): 3.8279 3.8279 20.1993 90.00 90.00 90.00
Fractional positions:
Pr (0.0000, 0.0000, 0.1026)
Pr (0.0000, 0.0000, 0.3081)
Pr (0.0000, 0.0000, 0.6919)
Pr (0.0000, 0.0000, 0.8974)
Tm (0.0000, 0.0000, 0.5000)
Tl (0.5000, 0.5000, 0.0000)
Tl (0.5000, 0.5000, 0.2059)
Tl (0.5000, 0.5000, 0.4112)
Tl (0.5000, 0.5000, 0.5888)
Tl (0.5000, 0.5000, 0.7941)



# Mg2PdAu5
Theoretical powder diffraction line list, a wavelength of 1.5418 Å. Input: a crystal structure in Alexandria, relaxed with GGA-PBE.
Lines closer than 0.1° are merged.

Peak list (10 most intense, 2θ from 10° to 90°, by intensity)
two_theta	intensity
37.8	100
38.0	99
43.5	68
64.5	42
21.4	37
45.2	30
31.0	30
76.0	27
76.3	26
78.6	25

Cell and atoms:
Lattice parameters (Å, degrees): 5.9016 11.7310 4.0125 90.00 90.00 90.00
Fractional positions:
Mg (0.2401, 0.1211, 0.0000)
Mg (0.2599, 0.6211, 0.0000)
Mg (0.7401, 0.3789, 0.0000)
Mg (0.7599, 0.8789, 0.0000)
Pd (0.0000, 0.0000, 0.5000)
Pd (0.5000, 0.5000, 0.5000)
Au (0.0000, 0.5000, 0.5000)
Au (0.0036, 0.7507, 0.5000)
Au (0.2493, 0.8759, 0.0000)
Au (0.2507, 0.3759, 0.0000)
Au (0.4964, 0.2507, 0.5000)
Au (0.5000, 0.0000, 0.5000)
Au (0.5036, 0.7493, 0.5000)
Au (0.7493, 0.6241, 0.0000)
Au (0.7507, 0.1241, 0.0000)
Au (0.9964, 0.2493, 0.5000)



# La2GeSe2
Theoretical powder diffraction line list, a wavelength of 1.5418 Å. Input: a crystal structure in Alexandria, relaxed with GGA-PBE.
Lines closer than 0.1° are merged.

Peak list (10 most intense, 2θ from 10° to 90°, by intensity)
two_theta	intensity
33.6	100
33.9	42
31.8	19
64.8	18
51.0	16
59.9	16
47.8	11
46.0	10
23.8	8
79.9	8

Cell and atoms:
Lattice parameters (Å, degrees): 8.3674 8.3674 3.8039 90.00 90.00 90.00
Fractional positions:
La (0.1655, 0.3345, 0.0000)
La (0.3345, 0.8345, 0.0000)
La (0.6655, 0.1655, 0.0000)
La (0.8345, 0.6655, 0.0000)
Ge (0.0000, 0.0000, 0.5000)
Ge (0.5000, 0.5000, 0.5000)
Se (0.1372, 0.6372, 0.5000)
Se (0.3628, 0.1372, 0.5000)
Se (0.6372, 0.8628, 0.5000)
Se (0.8628, 0.3628, 0.5000)